# TiNb3S6
Computed PXRD pattern, λ = 1.5418 Å (Cu Kα). Input: a crystal structure in Alexandria, relaxed with PBE.
Lines closer than 0.1° are merged.

Most intense lines, 10 to 90 degrees two-theta, sorted by position:
Position (°2θ), I (rel.)
14.13, 80.7
30.80, 36.6
31.63, 18.4
34.03, 59.2
42.45, 100.0
54.09, 14.5
54.76, 33.9
56.86, 12.7
71.65, 19.8
84.69, 18.9

Crystal structure
```
TiNb3S6
1.0
5.806 0.000 0.000
-2.903 5.029 0.000
0.000 0.000 12.532
Ti Nb S
2 6 12
Cartesian
0.000 3.352 3.133 Ti
2.903 1.676 9.399 Ti
0.000 0.000 0.000 Nb
0.000 0.000 6.266 Nb
0.000 3.352 6.292 Nb
0.000 3.352 12.506 Nb
2.903 1.676 0.026 Nb
2.903 1.676 6.240 Nb
-0.957 1.679 1.587 S
-1.927 3.360 4.680 S
0.957 1.679 4.680 S
-0.971 5.018 1.587 S
1.933 0.011 10.946 S
0.976 1.668 7.853 S
1.927 3.360 1.587 S
0.971 5.018 4.680 S
3.874 0.011 7.853 S
1.946 3.349 10.946 S
4.831 1.668 10.946 S
3.860 3.349 7.853 S
```

# TiNb2S4
Computed PXRD pattern, λ = 1.5418 Å (Cu Kα). Input: a crystal structure in Alexandria, relaxed with PBE.
Lines closer than 0.1° are merged.

Most intense lines, 10 to 90 degrees two-theta, sorted by position:
Position (°2θ), I (rel.)
20.90, 78.3
26.77, 51.5
27.10, 35.8
31.87, 100.0
33.39, 69.9
38.46, 38.4
40.57, 34.3
41.30, 87.3
43.52, 36.0
55.91, 40.2

Crystal structure
```
TiNb2S4
1.0
6.032 0.000 0.000
0.000 11.985 0.000
0.000 0.000 3.290
Ti Nb S
2 4 8
Cartesian
0.000 0.000 0.000 Ti
3.016 5.992 0.000 Ti
0.783 4.065 1.645 Nb
2.233 10.057 1.645 Nb
3.799 1.928 1.645 Nb
5.249 7.920 1.645 Nb
0.383 9.546 0.000 S
1.311 6.461 1.645 S
1.705 0.468 1.645 S
2.633 3.554 0.000 S
3.399 8.431 0.000 S
4.327 11.516 1.645 S
4.721 5.524 1.645 S
5.649 2.438 0.000 S
```